Simulated powder diffraction line list
Compound: CsRb2CdH5
Radiation: Cu Kα (weighted mean of Kα1 and Kα2)
Structure: the PBE geometry in Alexandria
Intensities are scaled so that the largest is 100.

Structure:
```
data_CsRb2CdH5
_chemical_formula_sum 'Cs2 Rb4 Cd2 H10'
_symmetry_space_group_name_H-M 'P 1'
_symmetry_Int_Tables_number 1
_cell_length_a 8.4305
_cell_length_b 8.4305
_cell_length_c 8.4305
_cell_angle_alpha 122.65
_cell_angle_beta 122.65
_cell_angle_gamma 85.48
loop_
_symmetry_equiv_pos_as_xyz
'x,y,z'
loop_
_atom_site_label
_atom_site_fract_x
_atom_site_fract_y
_atom_site_fract_z
Cs1 0.2500 0.2500 0.0000
Cs2 0.7500 0.7500 0.0000
Rb1 0.1813 0.6813 0.8626
Rb2 0.3187 0.1813 0.5000
Rb3 0.6813 0.8187 0.5000
Rb4 0.8187 0.3187 0.1374
Cd1 0.2500 0.7500 0.5000
Cd2 0.7500 0.2500 0.5000
H1 0.0000 0.0000 0.0000
H2 0.0306 0.7860 0.5000
H3 0.2140 0.7140 0.2446
H4 0.2860 0.5306 0.5000
H5 0.4694 0.9694 0.7554
H6 0.5000 0.5000 0.0000
H7 0.5306 0.0306 0.2446
H8 0.7140 0.4694 0.5000
H9 0.7860 0.2860 0.7554
H10 0.9694 0.2140 0.5000
```

Top 6 peaks for 2θ from 10° to 80°, most intense first:
d [Å], Rel. int.
3.387, 100
3.096, 27
2.861, 26
3.473, 23
2.101, 21
1.839, 17